Starting from the GGA-PBE geometry in Alexandria, the powder X-ray diffraction pattern of Ca2CrHgN was calculated for CuKα.

The 10 most intense peaks (2θ = 10–90°), by angle:
2θ 17.20, I 38.9
2θ 23.40, I 14.0
2θ 24.42, I 36.5
2θ 29.19, I 35.8
2θ 34.07, I 100.0
2θ 34.80, I 55.4
2θ 46.04, I 21.4
2θ 50.04, I 19.0
2θ 60.52, I 20.9
2θ 61.93, I 34.4

Atomic structure:
Cell: 5.1554 5.1554 3.8019 Å, 90.00 90.00 90.00°
Fractional positions:
Ca  0.0000  0.5000  0.0000
Ca  0.5000  0.0000  0.0000
Cr  0.0000  0.0000  0.5000
Hg  0.5000  0.5000  0.5000
N  0.0000  0.0000  0.0000

Starting from the GGA-PBE geometry in Alexandria, the powder X-ray diffraction pattern of CaCrIn4 was calculated for CuKα.

The 10 most intense peaks (2θ = 10–90°), by angle:
2θ 18.00, I 50.6
2θ 34.86, I 100.0
2θ 36.46, I 70.6
2θ 42.35, I 22.0
2θ 46.36, I 13.6
2θ 55.97, I 32.1
2θ 61.44, I 31.4
2θ 72.63, I 10.7
2θ 73.60, I 25.6
2θ 87.84, I 19.7

Atomic structure:
Cell: 6.0362 6.0362 6.0362 Å, 60.00 60.00 60.00°
Fractional positions:
Ca  0.0000  0.0000  0.0000
Cr  0.7500  0.7500  0.7500
In  0.3752  0.3752  0.3752
In  0.3752  0.3752  0.8742
In  0.3752  0.8742  0.3752
In  0.8742  0.3752  0.3752